[1]
Structure and simulated PXRD pattern of La3Cu2Pd6 (a crystal structure in Alexandria, relaxed with PBE; Cu Kα, 1.54184 Å).
Neutral-atom scattering factors, no anomalous dispersion.

Atomic structure:
Lattice parameters (Å, degrees): 8.3699 8.3699 8.3699 109.47 109.47 109.47
Fractional coordinates of all 22 atoms:
1 La 0.0000 0.2998 0.2998
2 La 0.0000 0.7002 0.7002
3 La 0.2998 0.0000 0.2998
4 La 0.2998 0.2998 0.0000
5 La 0.7002 0.0000 0.7002
6 La 0.7002 0.7002 0.0000
7 Cu 0.0000 0.0000 0.5000
8 Cu 0.0000 0.5000 0.0000
9 Cu 0.5000 0.0000 0.0000
10 Cu 0.5000 0.5000 0.5000
11 Pd 0.0000 0.3336 0.6664
12 Pd 0.0000 0.6664 0.3336
13 Pd 0.3328 0.6664 0.6664
14 Pd 0.3336 0.0000 0.6664
15 Pd 0.3336 0.3336 0.6672
16 Pd 0.3336 0.6664 0.0000
17 Pd 0.3336 0.6672 0.3336
18 Pd 0.6664 0.0000 0.3336
19 Pd 0.6664 0.3328 0.6664
20 Pd 0.6664 0.3336 0.0000
21 Pd 0.6664 0.6664 0.3328
22 Pd 0.6672 0.3336 0.3336

Principal peaks in the range 2θ = 10–90°, sorted by position:
2θ/deg	I/Imax
12.95	19
29.22	18
32.08	11
34.73	23
37.21	12
39.56	100
57.19	11
58.91	13
63.89	10
71.77	29



[2]
Structure and simulated PXRD pattern of La2Cu2Pd3 (a crystal structure in Alexandria, relaxed with PBE; Cu Kα, 1.54184 Å).
Neutral-atom scattering factors, no anomalous dispersion.

Atomic structure:
Lattice parameters (Å, degrees): 9.7695 9.7695 7.3239 90.00 90.00 155.47
Fractional coordinates of all 14 atoms:
1 La 0.0658 0.9342 0.7500
2 La 0.1594 0.8406 0.2500
3 La 0.8406 0.1594 0.7500
4 La 0.9342 0.0658 0.2500
5 Cu 0.3034 0.6966 0.0539
6 Cu 0.3034 0.6966 0.4461
7 Cu 0.6966 0.3034 0.5539
8 Cu 0.6966 0.3034 0.9461
9 Pd 0.2226 0.7774 0.7500
10 Pd 0.4344 0.5656 0.5611
11 Pd 0.4344 0.5656 0.9389
12 Pd 0.5656 0.4344 0.0611
13 Pd 0.5656 0.4344 0.4389
14 Pd 0.7774 0.2226 0.2500

Principal peaks in the range 2θ = 10–90°, sorted by position:
2θ/deg	I/Imax
30.63	16
32.95	100
34.17	92
35.61	18
37.69	25
41.54	43
43.61	40
46.95	36
61.81	23
72.81	17



[3]
Structure and simulated PXRD pattern of LaCu6Pd6 (a crystal structure in Alexandria, relaxed with PBE; Cu Kα, 1.54184 Å).
Neutral-atom scattering factors, no anomalous dispersion.

Atomic structure:
Lattice parameters (Å, degrees): 6.7296 6.7296 6.7296 136.03 99.41 96.71
Fractional coordinates of all 13 atoms:
1 La 0.0000 0.0000 0.0000
2 Cu 0.0000 0.0000 0.5000
3 Cu 0.0000 0.5000 0.0000
4 Cu 0.2389 0.7389 0.5000
5 Cu 0.5000 0.0000 0.0000
6 Cu 0.5000 0.5000 0.5000
7 Cu 0.7611 0.2611 0.5000
8 Pd 0.1963 0.5000 0.6963
9 Pd 0.3440 0.0000 0.3440
10 Pd 0.3483 0.3483 0.0000
11 Pd 0.6517 0.6517 0.0000
12 Pd 0.6560 0.0000 0.6560
13 Pd 0.8037 0.5000 0.3037

Principal peaks in the range 2θ = 10–90°, sorted by position:
2θ/deg	I/Imax
34.97	20
35.68	77
40.34	31
40.83	39
41.16	100
41.45	42
45.60	29
46.34	58
73.90	34
75.65	16



[4]
Structure and simulated PXRD pattern of La2CuPd3 (a crystal structure in Alexandria, relaxed with PBE; Cu Kα, 1.54184 Å).
Neutral-atom scattering factors, no anomalous dispersion.

Atomic structure:
Lattice parameters (Å, degrees): 3.8493 4.4535 7.8743 90.00 90.00 90.00
Fractional coordinates of all 6 atoms:
1 La 0.0000 0.0000 0.0000
2 La 0.0000 0.5000 0.4856
3 Cu 0.5000 0.5000 0.8208
4 Pd 0.5000 0.0000 0.3348
5 Pd 0.5000 0.0000 0.6766
6 Pd 0.5000 0.5000 0.1393

Principal peaks in the range 2θ = 10–90°, sorted by position:
2θ/deg	I/Imax
32.53	47
32.79	100
39.87	54
40.51	27
47.22	19
52.19	13
52.89	24
63.47	27
63.93	14
68.82	12



[5]
Structure and simulated PXRD pattern of La2CuPd4 (a crystal structure in Alexandria, relaxed with PBE; Cu Kα, 1.54184 Å).
Neutral-atom scattering factors, no anomalous dispersion.

Atomic structure:
Lattice parameters (Å, degrees): 8.2636 7.8559 4.8430 77.18 67.97 34.85
Fractional coordinates of all 7 atoms:
1 La 0.1340 0.1340 0.8660
2 La 0.8660 0.8660 0.1340
3 Cu 0.5000 0.5000 0.5000
4 Pd 0.0000 0.0000 0.5000
5 Pd 0.3291 0.3291 0.6709
6 Pd 0.5000 0.5000 0.0000
7 Pd 0.6709 0.6709 0.3291

Principal peaks in the range 2θ = 10–90°, sorted by position:
2θ/deg	I/Imax
12.13	27
22.95	38
26.04	42
33.74	61
36.34	44
36.95	33
38.74	100
39.65	39
46.90	29
54.60	42



[6]
Structure and simulated PXRD pattern of La2Cu5Pd5 (a crystal structure in Alexandria, relaxed with PBE; Cu Kα, 1.54184 Å).
Neutral-atom scattering factors, no anomalous dispersion.

Atomic structure:
Lattice parameters (Å, degrees): 4.3862 5.1575 9.2231 90.00 90.00 90.00
Fractional coordinates of all 12 atoms:
1 La 0.0000 0.0000 0.0000
2 La 0.0000 0.5000 0.5000
3 Cu 0.5000 0.0000 0.5000
4 Cu 0.5000 0.2494 0.2563
5 Cu 0.5000 0.2494 0.7437
6 Cu 0.5000 0.7506 0.2563
7 Cu 0.5000 0.7506 0.7437
8 Pd 0.0000 0.0000 0.3352
9 Pd 0.0000 0.0000 0.6648
10 Pd 0.0000 0.5000 0.1785
11 Pd 0.0000 0.5000 0.8215
12 Pd 0.5000 0.5000 0.0000

Principal peaks in the range 2θ = 10–90°, sorted by position:
2θ/deg	I/Imax
28.41	20
33.95	28
34.79	17
39.85	100
40.58	40
41.16	40
45.28	15
65.78	22
74.13	15
85.92	17



[7]
Structure and simulated PXRD pattern of La2ScCuPd6 (a crystal structure in Alexandria, relaxed with PBE; Cu Kα, 1.54184 Å).
Neutral-atom scattering factors, no anomalous dispersion.

Atomic structure:
Lattice parameters (Å, degrees): 5.7090 5.7090 8.7368 109.12 109.12 60.02
Fractional coordinates of all 10 atoms:
1 La 0.2116 0.2116 0.1336
2 La 0.7884 0.7884 0.8664
3 Sc 0.0000 0.0000 0.5000
4 Cu 0.5000 0.5000 0.0000
5 Pd 0.2447 0.7474 0.2377
6 Pd 0.2530 0.2530 0.7627
7 Pd 0.2526 0.7553 0.7623
8 Pd 0.7474 0.2447 0.2377
9 Pd 0.7470 0.7470 0.2373
10 Pd 0.7553 0.2526 0.7623

Principal peaks in the range 2θ = 10–90°, sorted by position:
2θ/deg	I/Imax
10.94	57
21.98	57
33.26	22
37.11	85
38.61	22
39.36	100
41.45	29
47.44	29
62.76	16
65.38	28



[8]
Structure and simulated PXRD pattern of La2CuSiPd6 (a crystal structure in Alexandria, relaxed with PBE; Cu Kα, 1.54184 Å).
Neutral-atom scattering factors, no anomalous dispersion.

Atomic structure:
Lattice parameters (Å, degrees): 5.7758 5.7758 7.8636 111.66 111.66 59.90
Fractional coordinates of all 10 atoms:
1 La 0.2174 0.2174 0.1548
2 La 0.7826 0.7826 0.8452
3 Cu 0.5000 0.5000 0.0000
4 Si 0.0000 0.0000 0.5000
5 Pd 0.2462 0.2462 0.7182
6 Pd 0.2466 0.7312 0.7211
7 Pd 0.2688 0.7534 0.2789
8 Pd 0.7312 0.2466 0.7211
9 Pd 0.7534 0.2688 0.2789
10 Pd 0.7538 0.7538 0.2818

Principal peaks in the range 2θ = 10–90°, sorted by position:
2θ/deg	I/Imax
25.03	51
27.48	26
33.50	21
34.46	25
36.93	93
39.82	100
46.25	13
49.76	15
50.04	18
64.54	19



What is the formula in the seventh record?
La2ScCuPd6